For Ca2HfO4, DFT lattice parameters and positions (GGA-PBE) gives the calculated PXRD pattern in this record (λ = 1.5418 Å (Cu Kα)).

Structure:
```
28
Lattice="5.693 0.000 0.000 0.000 5.763 0.000 0.000 0.000 12.025" Properties=species:S:1:pos:R:3 pbc="T T T"
Ca 0.103 0.279 1.853
Ca 0.103 2.603 7.866
Ca 2.744 3.160 1.853
Ca 2.744 5.485 7.866
Ca 2.949 0.279 4.159
Ca 2.949 2.603 10.172
Ca 5.591 3.160 4.159
Ca 5.591 5.485 10.172
Hf 0.000 0.000 6.013
Hf 0.000 2.882 0.000
Hf 2.847 0.000 0.000
Hf 2.847 2.882 6.013
O 0.481 0.222 8.031
O 0.481 2.659 2.018
O 1.096 1.115 11.680
O 1.096 1.766 5.667
O 1.751 3.997 11.680
O 1.751 4.648 5.667
O 2.365 3.104 8.031
O 2.365 5.541 2.018
O 3.328 0.222 10.007
O 3.328 2.659 3.995
O 3.943 1.115 6.359
O 3.943 1.766 0.346
O 4.597 3.997 6.359
O 4.597 4.648 0.346
O 5.212 3.104 10.007
O 5.212 5.541 3.995
```

Peak list (12 most intense, 2θ from 10° to 90°, low angle first)
| 2θ (°) | intensity |
| --- | --- |
| 14.73 | 591 |
| 23.17 | 638 |
| 31.03 | 249 |
| 31.40 | 1000 |
| 43.78 | 222 |
| 44.75 | 216 |
| 45.24 | 122 |
| 47.37 | 131 |
| 50.72 | 113 |
| 55.44 | 141 |
| 55.91 | 288 |
| 65.54 | 143 |